Diffraction record for Li2CePb. The powder diffraction line list is simulated, not measured: it uses a cell relaxed with PBE and a wavelength of 1.5418 Å.
Kinematic intensities with the Lorentz-polarization factor, no thermal factor.

The 10 most intense peaks (2θ from 10° to 90°), in order of rising 2θ:
| 2θ/deg | I (rel.) | (hkl) |
| --- | --- | --- |
| 21.86 | 7 | 1 1 1 |
| 25.29 | 100 | 2 0 0 |
| 36.07 | 91 | 2 2 0 |
| 44.57 | 30 | 2 2 2 |
| 51.94 | 16 | 4 0 0 |
| 58.63 | 40 | 4 2 0 |
| 64.87 | 34 | 4 2 2 |
| 76.53 | 11 | 4 4 0 |
| 82.12 | 20 | 6 0 0 |
| 87.64 | 16 | 6 2 0 |

Atomic structure:
abc: 7.042 7.042 7.042
angles: 90.00 90.00 90.00
Space group Fm-3m (No. 225)
One atom of each set of equivalent atoms:
Li (0.250, 0.250, 0.250) x8
Ce (0.000, 0.000, 0.000) x4
Pb (0.000, 0.000, 0.500) x4